The following is a calculated powder XRD pattern of RbTmW2O8. It was derived from DFT lattice parameters and positions (GGA+U), using Cu Ka.
No peak broadening, texture or thermal motion is included.

Largest 10 diffraction maxima, most intense first, 2θ from 10° to 90°:
2θ/deg	d_spacing	I_rel
27.1	3.290	100
29.3	3.052	96
31.5	2.838	37
48.8	1.868	31
27.4	3.257	27
33.1	2.704	23
32.7	2.741	23
56.0	1.643	20
46.9	1.937	20
33.8	2.651	20

Cell and atoms:
```
RbTmW2O8
1.0
5.5200 -5.3014 0.0000
5.5200 5.3014 0.0000
-4.8543 0.0000 5.6769
Rb Tm W O
2 2 4 16
direct
0.2041 0.7959 0.7500 Rb
0.7959 0.2041 0.2500 Rb
0.2229 0.7771 0.2500 Tm
0.7771 0.2229 0.7500 Tm
0.3004 0.3090 0.2890 W
0.3090 0.3004 0.7890 W
0.6910 0.6996 0.2110 W
0.6996 0.6910 0.7110 W
0.0418 0.2402 0.7037 O
0.0509 0.3492 0.1167 O
0.2402 0.0418 0.2037 O
0.2490 0.3767 0.5610 O
0.3492 0.0509 0.6167 O
0.3754 0.5987 0.0424 O
0.3767 0.2490 0.0610 O
0.4013 0.6246 0.4576 O
0.5987 0.3754 0.5424 O
0.6233 0.7510 0.9390 O
0.6246 0.4013 0.9576 O
0.6508 0.9491 0.3833 O
0.7510 0.6233 0.4390 O
0.7598 0.9582 0.7963 O
0.9491 0.6508 0.8833 O
0.9582 0.7598 0.2963 O
```